[1]
Ba3Mn2O8: simulated X-ray powder pattern (Cu Kα X-rays), based on a structure optimized by DFT (PBE+U).

Structure:
a = 5.8088 Å, b = 5.8088 Å, c = 21.7515 Å
α = 90.00°, β = 90.00°, γ = 120.00°
Space group R-3m (No. 166, hexagonal axes)
Symmetry-distinct sites (fractional):
Ba1 0.0000 0.0000 0.0000 x3
Ba2 0.0000 0.0000 0.2075 x6
Mn1 0.0000 0.0000 0.4072 x6
O1 0.0000 0.0000 0.3290 x6
O2 0.0110 0.5055 0.2323 x18

Top 8 peaks for 2θ = 10–90°, low angle first:
2θ (°)  intensity  h k l
27.10  100  0 1 5
30.79  87  1 1 0
41.47  41  2 0 5
45.43  25  1 0 10
52.53  30  1 2 5
54.74  16  3 0 0
65.17  17  2 1 10
89.26  16  4 1 0



[2]
Ba8Mn8O21: simulated X-ray powder pattern (Cu Kα X-rays), based on a structure optimized by DFT (PBE+U).

Structure:
a = 5.7919 Å, b = 9.5754 Å, c = 10.0761 Å
α = 90.00°, β = 90.36°, γ = 90.00°
Space group Pm (No. 6)
Symmetry-distinct sites (fractional):
Ba1 0.0000 0.0000 0.0000 x1
Ba2 0.0011 0.2586 0.3344 x2
Ba3 0.4833 0.0000 0.5064 x1
Ba4 0.5003 0.5000 0.1742 x1
Ba5 0.5009 0.2211 0.8428 x2
Ba6 0.9861 0.5000 0.6677 x1
Mn1 0.4748 0.1409 0.1654 x2
Mn2 0.4964 0.3521 0.5001 x2
Mn3 0.9731 0.3564 0.0032 x2
Mn4 0.9958 0.1392 0.6703 x2
O1 0.0043 0.2539 0.8315 x2
O2 0.2161 0.0000 0.7417 x1
O3 0.2451 0.2714 0.0728 x2
O4 0.2465 0.2550 0.5951 x2
O5 0.2584 0.0000 0.2426 x1
O6 0.2792 0.5000 0.4470 x1
O7 0.4961 0.0000 0.0209 x1
O8 0.5076 0.2337 0.3341 x2
O9 0.7145 0.5000 0.4503 x1
O10 0.7439 0.2539 0.5966 x2
O11 0.7466 0.2301 0.0993 x2
O12 0.7587 0.5000 0.9205 x1
O13 0.7795 0.0000 0.7443 x1
O14 0.9896 0.0000 0.5237 x1
O15 0.9992 0.5000 0.1437 x1

Top 8 peaks for 2θ = 10–90°, low angle first:
2θ (°)  intensity  h k l
25.70  100  0 2 2
30.69  49  1 0 -3
30.87  95  1 0 3
33.25  70  1 3 1
40.47  45  0 2 4
40.66  22  2 2 2
45.90  28  0 3 4
54.67  18  0 0 6



[3]
BaMn8O16: simulated X-ray powder pattern (Cu Kα X-rays), based on a structure optimized by DFT (PBE+U).

Structure:
a = 9.9675 Å, b = 5.9443 Å, c = 14.0213 Å
α = 90.00°, β = 134.63°, γ = 90.00°
Space group P2/c (No. 13)
Symmetry-distinct sites (fractional):
Ba1 0.0000 0.1285 0.2500 x2
Mn1 0.1841 0.1255 0.5870 x4
Mn2 0.1839 0.3742 0.0839 x4
Mn3 0.4789 0.3753 0.8980 x4
Mn4 0.4865 0.1240 0.4020 x4
O1 0.0530 0.1206 0.9542 x4
O2 0.0557 0.3707 0.4558 x4
O3 0.2807 0.1251 0.2078 x4
O4 0.2844 0.3755 0.7065 x4
O5 0.3524 0.1152 0.9061 x4
O6 0.3595 0.3683 0.4091 x4
O7 0.3804 0.1241 0.5895 x4
O8 0.3839 0.3726 0.0918 x4

Top 8 peaks for 2θ = 10–90°, low angle first:
2θ (°)  intensity  h k l
17.37  41  0 1 1
28.20  100  3 0 -2
28.40  95  1 0 -4
36.27  54  2 2 -1
36.38  63  1 2 -3
40.71  84  3 2 -3
55.27  45  6 0 -6
58.92  37  2 2 -7



[4]
BaMn4O8: simulated X-ray powder pattern (Cu Kα X-rays), based on a structure optimized by DFT (PBE+U).

Structure:
a = 9.7802 Å, b = 9.7802 Å, c = 3.1642 Å
α = 90.00°, β = 90.00°, γ = 90.00°
Space group I4/m (No. 87)
Symmetry-distinct sites (fractional):
Ba1 0.0000 0.0000 0.0000 x2
Mn1 0.1508 0.6645 0.0000 x8
O1 0.0424 0.3297 0.0000 x8
O2 0.1510 0.8064 0.5000 x8

Top 8 peaks for 2θ = 10–90°, low angle first:
2θ (°)  intensity  h k l
25.76  25  2 2 0
28.87  100  3 1 0
29.67  23  1 0 1
35.00  59  2 1 1
39.70  43  3 0 1
41.28  23  4 2 0
47.93  32  1 4 1
58.61  27  5 2 1



[5]
BaMn2O8: simulated X-ray powder pattern (Cu Kα X-rays), based on a structure optimized by DFT (PBE+U).

Structure:
a = 7.2691 Å, b = 13.7214 Å, c = 17.5047 Å
α = 90.00°, β = 90.00°, γ = 90.00°
Space group Fddd (No. 70, origin choice 2)
Symmetry-distinct sites (fractional):
Ba1 0.1250 0.1250 0.1250 x8
Mn1 0.1250 0.1250 0.3248 x16
O1 0.0536 0.3722 0.2302 x32
O2 0.1234 0.0282 0.3778 x32

Top 8 peaks for 2θ = 10–90°, low angle first:
2θ (°)  intensity  h k l
14.69  100  1 1 1
20.29  21  0 0 4
23.54  32  1 3 1
25.97  26  0 4 0
27.78  32  2 2 0
29.05  31  1 1 5
34.54  21  1 3 5
34.64  36  2 2 4



[6]
BaMnP2O7: simulated X-ray powder pattern (Cu Kα X-rays), based on a structure optimized by DFT (PBE+U).

Structure:
a = 5.5731 Å, b = 7.2612 Å, c = 7.6882 Å
α = 101.58°, β = 90.11°, γ = 93.87°
Space group P-1 (No. 2)
Symmetry-distinct sites (fractional):
Ba1 0.2235 0.2718 0.4326 x2
Mn1 0.2013 0.1317 0.8945 x2
P1 0.2878 0.7704 0.2960 x2
P2 0.2931 0.6790 0.9060 x2
O1 0.0675 0.8917 0.3087 x2
O2 0.1087 0.8320 0.9014 x2
O3 0.2332 0.4961 0.7779 x2
O4 0.2676 0.6291 0.1039 x2
O5 0.2764 0.6488 0.4366 x2
O6 0.4484 0.2339 0.1048 x2
O7 0.4747 0.1075 0.6950 x2

Top 8 peaks for 2θ = 10–90°, low angle first:
2θ (°)  intensity  h k l
25.10  97  0 2 0
25.45  42  1 1 1
28.42  67  1 0 -2
28.85  100  1 0 2
29.36  71  1 -2 1
29.92  45  0 2 1
32.20  74  2 0 0
40.42  41  2 -1 2



[7]
Ba2MnP2O8: simulated X-ray powder pattern (Cu Kα X-rays), based on a structure optimized by DFT (PBE+U).

Structure:
a = 5.4133 Å, b = 9.1172 Å, c = 17.2805 Å
α = 90.00°, β = 107.90°, γ = 90.00°
Space group P2_1/c (No. 14)
Symmetry-distinct sites (fractional):
Ba1 0.0306 0.1574 0.2704 x4
Ba2 0.1832 0.7021 0.9795 x4
Mn1 0.4039 0.0179 0.1356 x4
P1 0.1824 0.0954 0.9221 x4
P2 0.4216 0.1041 0.6630 x4
O1 0.1004 0.6483 0.6235 x4
O2 0.2202 0.5600 0.3890 x4
O3 0.2237 0.0980 0.0140 x4
O4 0.2535 0.0324 0.5823 x4
O5 0.2878 0.6124 0.8342 x4
O6 0.3111 0.2391 0.1696 x4
O7 0.3785 0.1986 0.8993 x4
O8 0.3990 0.0105 0.7365 x4

Top 8 peaks for 2θ = 10–90°, low angle first:
2θ (°)  intensity  h k l
25.03  35  1 1 2
25.17  45  1 1 -4
25.41  39  0 2 3
26.11  32  1 2 0
27.79  100  1 2 -3
31.75  30  1 0 4
33.10  39  2 0 -2
45.21  30  0 1 8



[8]
BaMnP2O7: simulated X-ray powder pattern (Cu Kα X-rays), based on a structure optimized by DFT (PBE+U).

Structure:
a = 5.6454 Å, b = 8.6971 Å, c = 14.2781 Å
α = 90.00°, β = 112.91°, γ = 90.00°
Space group P2_1/c (No. 14)
Symmetry-distinct sites (fractional):
Ba1 0.0623 0.1454 0.2806 x4
Mn1 0.4239 0.1590 0.6073 x4
P1 0.2087 0.6948 0.0192 x4
P2 0.4159 0.5487 0.6642 x4
O1 0.0592 0.1694 0.4797 x4
O2 0.2168 0.6843 0.9129 x4
O3 0.2881 0.6272 0.5524 x4
O4 0.2946 0.0774 0.7951 x4
O5 0.2950 0.6246 0.7332 x4
O6 0.3406 0.1208 0.1487 x4
O7 0.4139 0.5922 0.0974 x4

Top 8 peaks for 2θ = 10–90°, low angle first:
2θ (°)  intensity  h k l
13.47  30  0 0 2
25.84  100  1 0 -4
27.65  30  1 1 2
28.92  21  0 2 3
29.25  44  1 2 1
31.67  45  2 0 -2
43.54  19  2 2 -5
49.56  21  1 4 -4